1.
Starting from DFT lattice parameters and positions (PBE), the powder X-ray diffraction pattern of RbMgSb2Pb was computed for Cu Kα.
Intensities are scaled so that the largest is 100.

Atomic structure:
```
data_RbMgSb2Pb
_cell_length_a 4.960
_cell_length_b 4.960
_cell_length_c 15.423
_cell_angle_alpha 90.00
_cell_angle_beta 90.00
_cell_angle_gamma 90.00
_space_group_name_H-M_alt 'I -4 m 2'
_space_group_IT_number 119
_space_group_name_Hall 'I -4 -2'
loop_
_atom_site_label
_atom_site_fract_x
_atom_site_fract_y
_atom_site_fract_z
Rb1 0.000 0.000 0.000
Mg1 0.000 0.500 0.750
Sb1 0.000 0.000 0.363
Pb1 0.000 0.500 0.250
```

The 10 most intense peaks (5 to 70 degrees two-theta), sorted by position:
d_spacing  intensity  index
7.711  39  0 0 2
4.722  59  1 0 1
3.569  100  1 0 3
3.193  50  1 1 2
2.619  25  1 0 5
2.594  52  1 1 4
2.480  51  2 0 0
2.073  34  1 1 6
2.037  43  2 1 3
1.522  19  2 0 8

2.
Starting from DFT lattice parameters and positions (PBE), the powder X-ray diffraction pattern of NaUBO5 was computed for Cu Kα.
Intensities are scaled so that the largest is 100.

Atomic structure:
```
data_NaUBO5
_cell_length_a 5.946
_cell_length_b 10.802
_cell_length_c 6.898
_cell_angle_alpha 90.00
_cell_angle_beta 90.00
_cell_angle_gamma 90.00
_space_group_name_H-M_alt 'P b c m'
_space_group_IT_number 57
loop_
_space_group_symop_operation_xyz
'x,y,z'
'-x,-y,-z'
'-x,-y,z+1/2'
'x,y,-z+1/2'
'x,-y+1/2,-z'
'-x,y+1/2,z'
'-x,y+1/2,-z+1/2'
'x,-y+1/2,z+1/2'
loop_
_atom_site_label
_atom_site_fract_x
_atom_site_fract_y
_atom_site_fract_z
Na1 0.102 0.250 0.000
U1 0.403 0.567 0.250
B1 0.303 0.649 0.750
O1 0.163 0.040 0.750
O2 0.187 0.741 0.250
O3 0.348 0.172 0.250
O4 0.371 0.589 0.582
```

The 10 most intense peaks (5 to 70 degrees two-theta), sorted by position:
d_spacing  intensity  index
5.946  92  1 0 0
5.401  33  0 2 0
4.253  56  0 2 1
4.157  55  1 1 1
3.998  45  1 2 0
3.455  100  0 0 2
2.984  37  1 0 2
2.647  35  2 1 1
2.316  32  1 4 1
2.293  33  2 3 0

3.
Starting from DFT lattice parameters and positions (PBE), the powder X-ray diffraction pattern of ZrU3Se6 was computed for Cu Kα.
Intensities are scaled so that the largest is 100.

Atomic structure:
```
data_ZrU3Se6
_cell_length_a 12.4415
_cell_length_b 12.4415
_cell_length_c 11.6911
_cell_angle_alpha 90.00
_cell_angle_beta 90.00
_cell_angle_gamma 120.00
_space_group_name_H-M_alt 'R -3'
_space_group_IT_number 148
_space_group_name_Hall '-R 3'
loop_
_atom_site_label
_atom_site_fract_x
_atom_site_fract_y
_atom_site_fract_z
Zr1 0.0000 0.0000 0.0000
Zr2 0.0000 0.0000 0.5000
U1 0.0517 0.6140 0.3118
Se1 0.0339 0.8249 0.3902
Se2 0.0541 0.8524 0.8772
```

The 10 most intense peaks (5 to 70 degrees two-theta), sorted by position:
d_spacing  intensity  index
3.897  32  0 0 3
3.846  100  3 -1 1
3.303  27  1 1 3
2.895  30  4 -3 1
2.661  45  4 -1 2
2.375  63  3 -1 4
2.351  56  4 1 0
2.277  20  2 3 2
2.090  21  1 3 4
2.006  17  6 -4 1

4.
Starting from DFT lattice parameters and positions (PBE), the powder X-ray diffraction pattern of Ho7Cd2Bi2 was computed for Cu Kα.
Intensities are scaled so that the largest is 100.

Atomic structure:
```
data_Ho7Cd2Bi2
_cell_length_a 8.102
_cell_length_b 10.953
_cell_length_c 7.809
_cell_angle_alpha 90.00
_cell_angle_beta 90.00
_cell_angle_gamma 90.00
_space_group_name_H-M_alt 'C m m m'
_space_group_IT_number 65
_space_group_name_Hall '-C 2 2'
loop_
_atom_site_label
_atom_site_fract_x
_atom_site_fract_y
_atom_site_fract_z
Ho1 0.000 0.000 0.000
Ho2 0.000 0.500 0.282
Ho3 0.250 0.250 0.289
Cd1 0.173 0.000 0.500
Bi1 0.000 0.295 0.000
```

The 10 most intense peaks (5 to 70 degrees two-theta), sorted by position:
d_spacing  intensity  index
3.596  59  2 0 1
3.349  32  1 1 2
3.257  31  2 2 0
3.062  22  1 3 1
2.811  25  2 0 2
2.738  54  0 4 0
2.533  56  1 3 2
2.501  100  2 2 2
2.092  25  3 3 1
2.025  21  4 0 0

5.
Starting from DFT lattice parameters and positions (PBE), the powder X-ray diffraction pattern of Rb2NaPtF6 was computed for Cu Kα.
Intensities are scaled so that the largest is 100.

Atomic structure:
```
data_Rb2NaPtF6
_cell_length_a 6.1567
_cell_length_b 6.1567
_cell_length_c 5.8363
_cell_angle_alpha 90.00
_cell_angle_beta 90.00
_cell_angle_gamma 120.00
_space_group_name_H-M_alt 'P -3 m 1'
_space_group_IT_number 164
_space_group_name_Hall '-P 3 2"'
loop_
_atom_site_label
_atom_site_fract_x
_atom_site_fract_y
_atom_site_fract_z
Rb1 0.3333 0.6667 0.1851
Na1 0.0000 0.0000 0.5000
Pt1 0.0000 0.0000 0.0000
F1 0.1555 0.3110 0.7800
```

The 10 most intense peaks (5 to 70 degrees two-theta), sorted by position:
d_spacing  intensity  index
5.836  84  0 0 1
5.332  78  1 0 0
3.936  92  0 1 1
3.078  100  1 1 0
2.723  61  1 1 1
2.560  70  0 1 2
2.425  60  2 0 1
1.968  58  2 0 2
1.658  45  1 2 2
1.539  24  2 2 0

6.
Starting from DFT lattice parameters and positions (PBE), the powder X-ray diffraction pattern of DyTeAu4 was computed for Cu Kα.
Intensities are scaled so that the largest is 100.

Atomic structure:
```
data_DyTeAu4
_cell_length_a 8.011
_cell_length_b 8.011
_cell_length_c 8.011
_cell_angle_alpha 90.00
_cell_angle_beta 90.00
_cell_angle_gamma 90.00
_space_group_name_H-M_alt 'F -4 3 m'
_space_group_IT_number 216
_space_group_name_Hall 'F -4 2 3'
loop_
_atom_site_label
_atom_site_fract_x
_atom_site_fract_y
_atom_site_fract_z
Dy1 0.000 0.000 0.000
Te1 0.250 0.250 0.750
Au1 0.125 0.125 0.375
```

The 10 most intense peaks (5 to 70 degrees two-theta), sorted by position:
d_spacing  intensity  index
4.625  18  1 1 1
2.832  17  2 2 0
2.415  100  3 1 1
2.313  52  2 2 2
2.003  11  4 0 0
1.838  5  3 3 1
1.635  7  4 2 2
1.542  34  5 1 1
1.416  31  4 4 0
1.354  4  5 3 1